Theoretical PXRD pattern
Compound: Ac2GeO4F2
Radiation: Cu Kα X-rays
Structure: a crystal structure in Alexandria, relaxed with GGA-PBE
Kinematic intensities with the Lorentz-polarization factor, no thermal factor.

Top 10 peaks for 2θ = 10–80°, by angle:
d/Å, two_theta, Rel. int.
4.088, 21.74, 61
3.711, 23.98, 26
2.891, 30.93, 60
2.748, 32.59, 100
2.280, 39.52, 57
2.044, 44.31, 35
1.790, 51.02, 17
1.640, 56.08, 44
1.561, 59.17, 20
1.374, 68.27, 19

Cell and atoms:
```
9
Lattice="-2.8907 2.8907 3.7109 2.8907 -2.8907 3.7109 2.8907 2.8907 -3.7109" Properties=species:S:1:pos:R:3 pbc="T T T"
Ac 2.8907 0.0000 1.8555
Ac 0.0000 2.8907 1.8555
Ge 0.0000 0.0000 0.0000
O 1.3112 1.3112 0.0000
O 1.5795 -1.5795 3.7109
O -1.5795 1.5795 3.7109
O 1.5795 1.5795 3.7109
F 0.0000 0.0000 1.9763
F 0.0000 0.0000 5.4455
```